Theoretical powder X-ray diffraction pattern of Li2VO2F for Cu Kα (weighted mean of Kα1 and Kα2), from a cell relaxed with PBE+U.

Largest 10 diffraction maxima, by intensity, 2θ = 15–90°:
2theta, intensity
42.96, 1000
21.50, 464
43.81, 416
29.87, 273
30.15, 267
21.18, 265
63.18, 236
62.88, 216
62.68, 149
62.06, 139

Structural model:
Unit cell a=5.1011 b=2.9909 c=7.2067 alpha=90.00 beta=90.89 gamma=90.00
Space group P2/m (No. 10)
One atom of each set of equivalent atoms:
1 Li 0.0000 0.0000 0.0000 x1
2 Li 0.1653 0.5000 0.3235 x2
3 Li 0.5000 0.5000 0.0000 x1
4 V 0.3006 0.0000 0.6588 x2
5 O 0.0000 0.0000 0.5000 x1
6 O 0.1781 0.5000 0.8230 x2
7 O 0.5000 0.5000 0.5000 x1
8 F 0.3470 0.0000 0.1724 x2